Entry 1:
This entry pairs a crystal structure of DyY2Au6 with its simulated X-ray diffraction stick pattern. Radiation: CuKα. Structure: a DFT-relaxed cell (PBE, Alexandria).
No peak broadening, texture or thermal motion is included.

Structure:
```
DyY2Au6
1.0
2.6314 -8.0845 0.0000
2.6314 8.0845 0.0000
-2.5819 0.0000 4.5628
Dy Y Au
1 2 6
direct
0.0000 0.0000 0.0000 Dy
0.3347 0.6653 0.5000 Y
0.6653 0.3347 0.5000 Y
0.0017 0.6709 0.1672 Au
0.3291 0.9983 0.8328 Au
0.3430 0.3430 0.6727 Au
0.6570 0.6570 0.3273 Au
0.6709 0.0017 0.1672 Au
0.9983 0.3291 0.8328 Au
```

Top 12 peaks for 2θ = 10–90°, in order of rising 2θ:
two_theta	I/Imax
33.25	72
34.34	62
35.89	53
38.18	100
40.92	41
44.23	29
52.59	22
57.50	13
61.58	12
62.69	24
63.31	23
81.40	12

---

Entry 2:
This entry pairs a crystal structure of Er2Ge2Pd3 with its simulated X-ray diffraction stick pattern. Radiation: CuKα. Structure: a DFT-relaxed cell (PBE, Alexandria).
No peak broadening, texture or thermal motion is included.

Structure:
```
Er2Ge2Pd3
1.0
5.1369 -1.9714 0.0000
5.1369 1.9714 0.0000
-2.7371 0.0000 6.4534
Er Ge Pd
2 2 3
direct
0.1271 0.1271 0.2636 Er
0.8729 0.8729 0.7364 Er
0.1580 0.1580 0.7138 Ge
0.8420 0.8420 0.2862 Ge
0.3785 0.3785 0.0637 Pd
0.5000 0.5000 0.5000 Pd
0.6215 0.6215 0.9363 Pd
```

Top 12 peaks for 2θ = 10–90°, in order of rising 2θ:
two_theta	I/Imax
29.94	29
34.26	53
34.81	100
36.49	36
38.06	37
38.64	88
40.03	90
46.04	48
61.21	18
61.62	19
68.21	16
71.42	15

---

Repeat the second record exactly.
This entry pairs a crystal structure of Er2Ge2Pd3 with its simulated X-ray diffraction stick pattern. Radiation: CuKα. Structure: a DFT-relaxed cell (PBE, Alexandria).
No peak broadening, texture or thermal motion is included.

Structure:
```
Er2Ge2Pd3
1.0
5.1369 -1.9714 0.0000
5.1369 1.9714 0.0000
-2.7371 0.0000 6.4534
Er Ge Pd
2 2 3
direct
0.1271 0.1271 0.2636 Er
0.8729 0.8729 0.7364 Er
0.1580 0.1580 0.7138 Ge
0.8420 0.8420 0.2862 Ge
0.3785 0.3785 0.0637 Pd
0.5000 0.5000 0.5000 Pd
0.6215 0.6215 0.9363 Pd
```

Top 12 peaks for 2θ = 10–90°, in order of rising 2θ:
two_theta	I/Imax
29.94	29
34.26	53
34.81	100
36.49	36
38.06	37
38.64	88
40.03	90
46.04	48
61.21	18
61.62	19
68.21	16
71.42	15